For SrAl2SiPt4, a PBE-relaxed structure gives the simulated powder X-ray diffraction pattern in this record (copper Kα).
Kinematic intensities with the Lorentz-polarization factor, no thermal factor.

Top 12 peaks for 5° ≤ 2θ ≤ 70°, by angle:
| 2θ (°) | intensity |
| --- | --- |
| 9.63 | 76 |
| 27.24 | 53 |
| 28.95 | 27 |
| 33.13 | 100 |
| 35.52 | 16 |
| 42.06 | 90 |
| 43.25 | 13 |
| 43.56 | 47 |
| 52.61 | 14 |
| 54.56 | 25 |
| 62.15 | 16 |
| 67.04 | 11 |

Lattice parameters (Å, degrees): 9.5120 9.5120 9.5120 26.11 26.11 26.11
Positions (direct):
Sr  0.0000  0.0000  0.0000
Al  0.2419  0.2419  0.2419
Al  0.7581  0.7581  0.7581
Si  0.5000  0.5000  0.5000
Pt  0.1404  0.1404  0.1404
Pt  0.4127  0.4127  0.4127
Pt  0.5873  0.5873  0.5873
Pt  0.8596  0.8596  0.8596

=====

For Na4B5C3, a PBE-relaxed structure gives the simulated powder X-ray diffraction pattern in this record (copper Kα).
Kinematic intensities with the Lorentz-polarization factor, no thermal factor.

Top 12 peaks for 5° ≤ 2θ ≤ 70°, by angle:
| 2θ (°) | intensity |
| --- | --- |
| 10.37 | 1 |
| 20.83 | 1 |
| 36.04 | 20 |
| 36.50 | 8 |
| 41.99 | 100 |
| 42.39 | 92 |
| 56.82 | 11 |
| 57.15 | 5 |
| 64.49 | 9 |
| 65.40 | 17 |
| 68.57 | 1 |
| 69.46 | 2 |

Lattice parameters (Å, degrees): 9.0059 9.0059 4.9230 90.00 90.00 37.43
Positions (direct):
Na  0.0012  0.2509  0.0000
Na  0.2489  0.4981  0.9988
Na  0.2509  0.0012  0.5000
Na  0.4981  0.2489  0.4988
Na  0.5019  0.7511  0.9988
Na  0.7491  0.9988  0.0000
Na  0.7511  0.5019  0.4988
Na  0.9988  0.7491  0.5000
B  0.1162  0.8838  0.1635
B  0.1247  0.3748  0.3329
B  0.3602  0.6398  0.6892
B  0.3748  0.1247  0.8329
B  0.3769  0.6231  0.3197
B  0.6231  0.3769  0.8197
B  0.6252  0.8753  0.3329
B  0.6398  0.3602  0.1892
B  0.8753  0.6252  0.8329
B  0.8838  0.1162  0.6635
C  0.1188  0.8812  0.8268
C  0.1246  0.3746  0.6675
C  0.3746  0.1246  0.1675
C  0.6254  0.8754  0.6675
C  0.8754  0.6254  0.1675
C  0.8812  0.1188  0.3268

=====

For La4AgSnO, a PBE-relaxed structure gives the simulated powder X-ray diffraction pattern in this record (copper Kα).
Kinematic intensities with the Lorentz-polarization factor, no thermal factor.

Top 12 peaks for 5° ≤ 2θ ≤ 70°, by angle:
| 2θ (°) | intensity |
| --- | --- |
| 27.71 | 59 |
| 27.82 | 58 |
| 31.93 | 36 |
| 32.24 | 42 |
| 33.44 | 100 |
| 36.55 | 86 |
| 49.30 | 42 |
| 52.52 | 15 |
| 52.77 | 15 |
| 63.05 | 16 |
| 63.74 | 27 |
| 63.90 | 15 |

Lattice parameters (Å, degrees): 9.0970 9.0970 6.9694 90.00 90.00 135.16
Positions (direct):
La  0.0000  0.5000  0.0000
La  0.0000  0.5000  0.5000
La  0.0625  0.9375  0.7500
La  0.4209  0.5791  0.7500
La  0.5000  0.0000  0.0000
La  0.5000  0.0000  0.5000
La  0.5791  0.4209  0.2500
La  0.9375  0.0625  0.2500
Ag  0.1192  0.8808  0.2500
Ag  0.8808  0.1192  0.7500
Sn  0.3887  0.6113  0.2500
Sn  0.6113  0.3887  0.7500
O  0.2572  0.7428  0.7500
O  0.7428  0.2572  0.2500

=====

For RbSnIF2, a PBE-relaxed structure gives the simulated powder X-ray diffraction pattern in this record (copper Kα).
Kinematic intensities with the Lorentz-polarization factor, no thermal factor.

Top 12 peaks for 5° ≤ 2θ ≤ 70°, by angle:
| 2θ (°) | intensity |
| --- | --- |
| 17.05 | 37 |
| 22.76 | 31 |
| 24.18 | 47 |
| 26.09 | 100 |
| 28.23 | 56 |
| 29.04 | 39 |
| 29.70 | 46 |
| 30.42 | 81 |
| 34.61 | 27 |
| 39.82 | 40 |
| 42.47 | 32 |
| 48.22 | 30 |

Lattice parameters (Å, degrees): 7.8749 4.5276 8.5405 90.00 101.16 90.00
Positions (direct):
Rb  0.1906  0.2500  0.4152
Rb  0.8094  0.7500  0.5848
Sn  0.1746  0.2500  0.9166
Sn  0.8254  0.7500  0.0834
I  0.4067  0.7500  0.7388
I  0.5933  0.2500  0.2612
F  0.0033  0.2500  0.6931
F  0.0485  0.7500  0.9345
F  0.9515  0.2500  0.0655
F  0.9967  0.7500  0.3069

=====

For BaSrBi3, a PBE-relaxed structure gives the simulated powder X-ray diffraction pattern in this record (copper Kα).
Kinematic intensities with the Lorentz-polarization factor, no thermal factor.

Top 12 peaks for 5° ≤ 2θ ≤ 70°, by angle:
| 2θ (°) | intensity |
| --- | --- |
| 18.05 | 43 |
| 18.91 | 27 |
| 25.93 | 31 |
| 27.76 | 68 |
| 28.36 | 54 |
| 29.06 | 100 |
| 29.50 | 52 |
| 31.25 | 37 |
| 33.31 | 27 |
| 36.56 | 64 |
| 38.90 | 45 |
| 56.13 | 33 |

Lattice parameters (Å, degrees): 15.7452 7.0395 6.8662 90.00 90.00 90.00
Positions (direct):
Ba  0.2500  0.0000  0.0500
Ba  0.2500  0.5000  0.4500
Ba  0.7500  0.0000  0.9500
Ba  0.7500  0.5000  0.5500
Sr  0.9999  0.2500  0.2500
Sr  0.0001  0.7500  0.7500
Sr  0.4999  0.2500  0.7500
Sr  0.5001  0.7500  0.2500
Bi  0.0603  0.7500  0.2500
Bi  0.1512  0.0532  0.5679
Bi  0.1512  0.4468  0.9321
Bi  0.3488  0.5532  0.9321
Bi  0.3488  0.9468  0.5679
Bi  0.4397  0.2500  0.2500
Bi  0.5603  0.7500  0.7500
Bi  0.6512  0.0532  0.4321
Bi  0.6512  0.4468  0.0679
Bi  0.8488  0.5532  0.0679
Bi  0.8488  0.9468  0.4321
Bi  0.9397  0.2500  0.7500

=====

For RbSmAs, a PBE-relaxed structure gives the simulated powder X-ray diffraction pattern in this record (copper Kα).
Kinematic intensities with the Lorentz-polarization factor, no thermal factor.

Top 12 peaks for 5° ≤ 2θ ≤ 70°, by angle:
| 2θ (°) | intensity |
| --- | --- |
| 9.78 | 86 |
| 27.93 | 100 |
| 29.65 | 16 |
| 30.90 | 50 |
| 32.87 | 88 |
| 37.24 | 62 |
| 39.90 | 22 |
| 48.30 | 38 |
| 49.14 | 34 |
| 53.69 | 22 |
| 61.59 | 23 |
| 64.39 | 44 |

Lattice parameters (Å, degrees): 6.8287 6.8293 9.6596 90.00 110.65 90.00
Positions (direct):
Rb  0.1854  0.0000  0.3718
Rb  0.3146  0.5000  0.6282
Rb  0.6854  0.5000  0.3718
Rb  0.8146  0.0000  0.6282
Sm  0.2500  0.2500  0.0000
Sm  0.2500  0.7500  0.0000
Sm  0.7500  0.2500  0.0000
Sm  0.7500  0.7500  0.0000
As  0.1057  0.5000  0.2121
As  0.3943  0.0000  0.7879
As  0.6057  0.0000  0.2121
As  0.8943  0.5000  0.7879

=====

For KNa4Sn, a PBE-relaxed structure gives the simulated powder X-ray diffraction pattern in this record (copper Kα).
Kinematic intensities with the Lorentz-polarization factor, no thermal factor.

Top 12 peaks for 5° ≤ 2θ ≤ 70°, by angle:
| 2θ (°) | intensity |
| --- | --- |
| 13.36 | 71 |
| 15.99 | 72 |
| 20.90 | 65 |
| 26.18 | 30 |
| 31.02 | 85 |
| 31.46 | 100 |
| 32.31 | 47 |
| 32.91 | 47 |
| 33.92 | 24 |
| 35.10 | 25 |
| 49.62 | 40 |
| 54.53 | 35 |

Lattice parameters (Å, degrees): 6.8081 6.6260 9.5425 90.00 90.00 90.00
Positions (direct):
K  0.0000  0.2444  0.0000
K  0.5000  0.7556  0.5000
Na  0.0000  0.4936  0.6271
Na  0.0000  0.7769  0.2696
Na  0.2483  0.2037  0.3794
Na  0.2517  0.7963  0.8794
Na  0.5000  0.2231  0.7696
Na  0.5000  0.5064  0.1271
Na  0.7483  0.7963  0.8794
Na  0.7517  0.2037  0.3794
Sn  0.0000  0.9951  0.6271
Sn  0.5000  0.0049  0.1271

=====

For YEr2Al9, a PBE-relaxed structure gives the simulated powder X-ray diffraction pattern in this record (copper Kα).
Kinematic intensities with the Lorentz-polarization factor, no thermal factor.

Top 12 peaks for 5° ≤ 2θ ≤ 70°, by angle:
| 2θ (°) | intensity |
| --- | --- |
| 16.79 | 25 |
| 19.22 | 26 |
| 25.17 | 98 |
| 29.30 | 48 |
| 35.28 | 32 |
| 37.76 | 30 |
| 39.00 | 100 |
| 44.63 | 16 |
| 48.49 | 24 |
| 49.52 | 24 |
| 60.77 | 22 |
| 69.00 | 18 |

Lattice parameters (Å, degrees): 6.0968 6.0968 28.5914 90.00 90.00 120.00
Positions (direct):
Y  0.0000  0.0000  0.0000
Y  0.0000  0.0000  0.3330
Y  0.0000  0.0000  0.6670
Y  0.6667  0.3333  0.5000
Er  0.3333  0.6667  0.0834
Er  0.3333  0.6667  0.2499
Er  0.3333  0.6667  0.4166
Er  0.3333  0.6667  0.5834
Er  0.3333  0.6667  0.7501
Er  0.3333  0.6667  0.9166
Er  0.6667  0.3333  0.1666
Er  0.6667  0.3333  0.8334
Al  0.1513  0.3027  0.1666
Al  0.1514  0.3027  0.5000
Al  0.1513  0.3027  0.8334
Al  0.1513  0.8487  0.1666
Al  0.1514  0.8486  0.5000
Al  0.1513  0.8487  0.8334
Al  0.3331  0.1666  0.4166
Al  0.3331  0.1666  0.5834
Al  0.3342  0.1671  0.0836
Al  0.3342  0.1671  0.9164
Al  0.3346  0.1673  0.2496
Al  0.3346  0.1673  0.7504
Al  0.5152  0.0305  0.0000
Al  0.5153  0.0306  0.3332
Al  0.5153  0.0306  0.6668
Al  0.5152  0.4848  0.0000
Al  0.5153  0.4847  0.3332
Al  0.5153  0.4847  0.6668
Al  0.6973  0.8487  0.1666
Al  0.6973  0.8486  0.5000
Al  0.6973  0.8487  0.8334
Al  0.8329  0.1671  0.0836
Al  0.8327  0.1673  0.2496
Al  0.8334  0.1666  0.4166
Al  0.8334  0.1666  0.5834
Al  0.8327  0.1673  0.7504
Al  0.8329  0.1671  0.9164
Al  0.8327  0.6654  0.2496
Al  0.8327  0.6654  0.7504
Al  0.8329  0.6658  0.0836
Al  0.8329  0.6658  0.9164
Al  0.8334  0.6669  0.4166
Al  0.8334  0.6669  0.5834
Al  0.9694  0.4847  0.3332
Al  0.9694  0.4847  0.6668
Al  0.9695  0.4848  0.0000

=====

For SrAlF5, a PBE-relaxed structure gives the simulated powder X-ray diffraction pattern in this record (copper Kα).
Kinematic intensities with the Lorentz-polarization factor, no thermal factor.

Top 12 peaks for 5° ≤ 2θ ≤ 70°, by angle:
| 2θ (°) | intensity |
| --- | --- |
| 17.43 | 23 |
| 24.63 | 50 |
| 24.75 | 40 |
| 25.50 | 44 |
| 27.73 | 45 |
| 28.40 | 100 |
| 30.34 | 24 |
| 43.89 | 24 |
| 44.04 | 39 |
| 45.42 | 26 |
| 45.76 | 36 |
| 52.42 | 32 |

Lattice parameters (Å, degrees): 10.7964 10.7964 10.7964 96.43 96.43 140.88
Positions (direct):
Sr  0.0516  0.7750  0.8265
Sr  0.2250  0.0516  0.2766
Sr  0.2528  0.5688  0.8223
Sr  0.4305  0.2528  0.6840
Sr  0.5688  0.7465  0.3160
Sr  0.7465  0.4305  0.1777
Sr  0.7750  0.9484  0.7234
Sr  0.9484  0.2250  0.1735
Al  0.9999  0.4999  0.5000
Al  0.1816  0.3338  0.5155
Al  0.2513  0.2513  0.0000
Al  0.3338  0.8183  0.1522
Al  0.4999  0.9999  0.5000
Al  0.6661  0.1816  0.8478
Al  0.7463  0.7463  0.0000
Al  0.8183  0.6661  0.4845
F  0.0656  0.6082  0.6738
F  0.0714  0.8835  0.6096
F  0.0815  0.2216  0.6473
F  0.1133  0.4452  0.5589
F  0.1159  0.7253  0.1876
F  0.1230  0.2802  0.9167
F  0.2063  0.1230  0.8428
F  0.2216  0.5742  0.1401
F  0.2316  0.7452  0.9765
F  0.2499  0.7499  0.5000
F  0.2551  0.2316  0.4864
F  0.2739  0.4618  0.3904
F  0.2802  0.3635  0.1572
F  0.3635  0.2063  0.0833
F  0.3919  0.0656  0.4574
F  0.4262  0.5664  0.6466
F  0.4342  0.0815  0.8599
F  0.4452  0.8863  0.3319
F  0.4618  0.0714  0.1880
F  0.4987  0.4987  0.0000
F  0.5377  0.9284  0.8124
F  0.5544  0.1133  0.6681
F  0.5664  0.9197  0.1402
F  0.5742  0.4342  0.3527
F  0.6082  0.9344  0.5426
F  0.6336  0.7903  0.9156
F  0.7180  0.6336  0.8433
F  0.7253  0.5377  0.6093
F  0.7452  0.7687  0.5136
F  0.7499  0.2499  0.5000
F  0.7687  0.2551  0.0235
F  0.7795  0.4262  0.8598
F  0.7903  0.8746  0.1567
F  0.8746  0.7180  0.0844
F  0.8835  0.2739  0.8120
F  0.8863  0.5544  0.4411
F  0.9197  0.7795  0.3534
F  0.9284  0.1159  0.3907
F  0.9344  0.3919  0.3262
F  0.9988  0.9988  0.0000

=====

For LaPu3Cu8, a PBE-relaxed structure gives the simulated powder X-ray diffraction pattern in this record (copper Kα).
Kinematic intensities with the Lorentz-polarization factor, no thermal factor.

Top 12 peaks for 5° ≤ 2θ ≤ 70°, by angle:
| 2θ (°) | intensity |
| --- | --- |
| 19.43 | 17 |
| 22.03 | 15 |
| 28.51 | 20 |
| 33.99 | 66 |
| 37.02 | 84 |
| 39.46 | 15 |
| 40.11 | 100 |
| 40.88 | 43 |
| 57.22 | 15 |
| 62.83 | 38 |
| 64.98 | 26 |
| 68.26 | 27 |

Lattice parameters (Å, degrees): 5.2743 5.2743 8.6014 90.00 90.00 120.00
Positions (direct):
La  0.0000  0.0000  0.0000
Pu  0.0000  0.0000  0.3952
Pu  0.6667  0.3333  0.4964
Pu  0.6667  0.3333  0.8750
Cu  0.0030  0.5015  0.1946
Cu  0.1703  0.3405  0.6897
Cu  0.1703  0.8297  0.6897
Cu  0.3333  0.6667  0.4402
Cu  0.3333  0.6667  0.9412
Cu  0.4985  0.5015  0.1946
Cu  0.4985  0.9970  0.1946
Cu  0.6595  0.8297  0.6897